Diffraction record for Li3Ca3Ag2. The powder X-ray diffraction pattern is theoretical, not measured: it uses the GGA-PBE geometry in Alexandria and copper Kα.
Peak positions follow from Bragg's law for the DFT cell and can differ from measured ones.

Cell and atoms:
Lattice parameters (Å, degrees): 8.2134 16.5814 6.0347 90.00 90.00 90.00
Space group Pnma (No. 62)
Asymmetric unit:
Li1 0.1717 0.0328 0.0973
Li2 0.1742 0.7500 0.1246
Ca1 0.0318 0.1092 0.6147
Ca2 0.1678 0.2500 0.1377
Ag1 0.1188 0.6119 0.8801

Main lines, by angle (2θ from 10° to 80°):
d 5.671, 2θ = 15.63°, I = 64
d 4.145, 2θ = 21.44°, I = 100
d 3.651, 2θ = 24.38°, I = 80
d 3.395, 2θ = 26.25°, I = 42
d 3.296, 2θ = 27.05°, I = 73
d 2.792, 2θ = 32.06°, I = 82
d 2.627, 2θ = 34.14°, I = 86
d 2.521, 2θ = 35.62°, I = 76
d 2.339, 2θ = 38.50°, I = 48
d 1.817, 2θ = 50.21°, I = 45


Diffraction record for Na2In3. The powder X-ray diffraction pattern is theoretical, not measured: it uses the GGA-PBE geometry in Alexandria and copper Kα.
Peak positions follow from Bragg's law for the DFT cell and can differ from measured ones.

Cell and atoms:
Lattice parameters (Å, degrees): 6.2213 8.6086 10.5048 90.00 90.00 90.00
Space group Pbcn (No. 60)
Asymmetric unit:
Na1 0.1079 0.1797 0.0853
In1 0.0000 0.1441 0.7500
In2 0.1192 0.4714 0.8731

Main lines, by angle (2θ from 10° to 80°):
d 5.042, 2θ = 17.59°, I = 29
d 4.546, 2θ = 19.53°, I = 66
d 4.304, 2θ = 20.64°, I = 40
d 4.013, 2θ = 22.15°, I = 46
d 2.935, 2θ = 30.45°, I = 66
d 2.716, 2θ = 32.98°, I = 42
d 2.606, 2θ = 34.42°, I = 73
d 2.556, 2θ = 35.11°, I = 100
d 2.330, 2θ = 38.64°, I = 78
d 2.242, 2θ = 40.22°, I = 31


Diffraction record for Ca2MnGaAu6. The powder X-ray diffraction pattern is theoretical, not measured: it uses the GGA-PBE geometry in Alexandria and copper Kα.
Peak positions follow from Bragg's law for the DFT cell and can differ from measured ones.

Cell and atoms:
Lattice parameters (Å, degrees): 5.6919 6.3376 7.1820 107.79 104.27 107.67
Space group P-1 (No. 2)
Asymmetric unit:
Ca1 0.0031 0.1415 0.2934
Mn1 0.5000 0.0000 0.5000
Ga1 0.5000 0.5000 0.0000
Au1 0.0052 0.6475 0.2581
Au2 0.3644 0.8560 0.0878
Au3 0.4112 0.6329 0.6429

Main lines, by angle (2θ from 10° to 80°):
d 4.829, 2θ = 18.37°, I = 55
d 3.846, 2θ = 23.13°, I = 91
d 2.493, 2θ = 36.03°, I = 65
d 2.471, 2θ = 36.36°, I = 54
d 2.359, 2θ = 38.14°, I = 32
d 2.325, 2θ = 38.73°, I = 100
d 2.320, 2θ = 38.82°, I = 46
d 2.258, 2θ = 39.93°, I = 30
d 2.161, 2θ = 41.81°, I = 30
d 1.897, 2θ = 47.95°, I = 40


Diffraction record for Li6BiPd2. The powder X-ray diffraction pattern is theoretical, not measured: it uses the GGA-PBE geometry in Alexandria and copper Kα.
Peak positions follow from Bragg's law for the DFT cell and can differ from measured ones.

Cell and atoms:
Lattice parameters (Å, degrees): 7.7298 7.7298 8.3151 90.00 90.00 120.00
Space group R-3m (No. 166, hexagonal axes)
Asymmetric unit:
Li1 0.0000 0.3257 0.0000
Bi1 0.0000 0.0000 0.5000
Pd1 0.0000 0.0000 0.1602

Main lines, by angle (2θ from 10° to 80°):
d 5.214, 2θ = 17.00°, I = 9
d 3.865, 2θ = 23.01°, I = 100
d 2.772, 2θ = 32.30°, I = 13
d 2.252, 2θ = 40.03°, I = 55
d 2.231, 2θ = 40.42°, I = 29
d 1.932, 2θ = 47.02°, I = 15
d 1.738, 2θ = 52.66°, I = 20
d 1.585, 2θ = 58.20°, I = 18
d 1.461, 2θ = 63.71°, I = 12
d 1.292, 2θ = 73.25°, I = 19